Theoretical XRD peak list
Compound: Ac3Tl2I2
Radiation: λ = 1.5418 Å (Cu Kα)
Structure: a crystal structure in Alexandria, relaxed with GGA-PBE
No peak broadening, texture or thermal motion is included.

Structural model:
a = 4.7446 Å, b = 6.4969 Å, c = 10.3903 Å
α = 72.06°, β = 89.93°, γ = 68.59°
Space group P-1 (No. 2)
Inequivalent atoms, fractional coordinates:
Ac 0.0000 0.0000 0.0000
Ac 0.2089 0.5841 0.7174
Tl 0.3301 0.3392 0.0750
I 0.1010 0.7956 0.3595

Most intense lines, 2θ = 10–90°, low angle first:
27.6°, rel. 30.3; 29.1°, rel. 100.0; 32.0°, rel. 81.9; 37.9°, rel. 31.3; 39.3°, rel. 42.2; 39.8°, rel. 28.7